Entry 1:
CeFeH5: calculated X-ray powder pattern (a wavelength of 1.5418 Å), based on a GGA-PBE-relaxed structure.
Intensities are scaled so that the largest is 100.

Structure:
Cell: 3.702 4.613 6.502 Å, 90.00 90.00 90.00°
Space group Immm (No. 71)
Unique sites:
Ce 0.000 0.000 0.000
Fe 0.000 0.000 0.500
H 0.000 0.251 0.333
H 0.000 0.500 0.000

Most intense lines, 2θ = 15–90°, sorted by position:
2theta	I (rel.)	hkl
23.65	30	0 1 1
27.43	69	0 0 2
27.73	21	1 0 1
30.97	100	1 1 0
39.05	26	0 2 0
41.84	87	1 1 2
48.38	30	0 2 2
57.28	17	2 0 2
65.94	22	1 1 4
71.51	18	2 2 2

***

Entry 2:
CeFe2H4: calculated X-ray powder pattern (a wavelength of 1.5418 Å), based on a GGA-PBE-relaxed structure.
Intensities are scaled so that the largest is 100.

Structure:
Cell: 4.389 7.192 8.698 Å, 90.00 90.00 90.00°
Space group Cccm (No. 66)
Unique sites:
Ce 0.000 0.000 0.250
Fe 0.006 0.330 0.000
H 0.152 0.103 0.500
H 0.250 0.250 0.141

Most intense lines, 2θ = 15–90°, sorted by position:
2theta	I (rel.)	hkl
23.75	19	1 1 0
31.52	100	1 1 2
32.30	50	0 2 2
41.14	20	2 0 0
41.53	20	0 0 4
42.99	36	1 3 0
53.25	24	2 2 2
59.88	13	2 0 4
61.31	24	1 3 4
68.98	10	3 1 2

***

Entry 3:
Ce3FeH: calculated X-ray powder pattern (a wavelength of 1.5418 Å), based on a GGA-PBE-relaxed structure.
Intensities are scaled so that the largest is 100.

Structure:
Cell: 4.992 6.041 7.498 Å, 105.13 99.86 113.87°
Space group P-1 (No. 2)
Unique sites:
Ce 0.078 0.306 0.122
Ce 0.178 0.236 0.754
Ce 0.404 0.761 0.586
Fe 0.457 0.823 0.085
H 0.119 0.269 0.435

Most intense lines, 2θ = 15–90°, sorted by position:
2theta	I (rel.)	hkl
27.56	41	1 0 1
30.02	18	1 1 -1
31.05	57	1 -2 1
32.64	100	-1 1 2
32.85	65	1 1 -2
34.92	62	0 2 0
36.61	92	2 -1 0
38.19	22	1 0 2
53.06	16	2 1 0
53.79	18	0 3 -3

***

Entry 4:
Ce6In2FeH: calculated X-ray powder pattern (a wavelength of 1.5418 Å), based on a GGA-PBE-relaxed structure.
Intensities are scaled so that the largest is 100.

Structure:
Cell: 9.888 9.895 10.030 Å, 90.00 90.00 90.00°
Space group Fmmm (No. 69)
Unique sites:
Ce 0.000 0.000 0.231
Ce 0.000 0.247 0.000
Ce 0.248 0.000 0.000
In 0.250 0.250 0.250
Fe 0.000 0.000 0.500
H 0.000 0.000 0.000

Most intense lines, 2θ = 15–90°, sorted by position:
2theta	I (rel.)	hkl
31.18	100	2 2 2
35.81	21	0 0 4
36.33	42	4 0 0
51.93	28	4 0 4
52.32	15	4 4 0
61.48	13	2 2 6
62.17	27	6 2 2
65.03	14	4 4 4
84.91	10	6 2 6
88.39	7	8 4 0